Record 1
This entry pairs a crystal structure of TcSbOs2 with its theoretical powder diffractogram. Radiation: Cu Kα, 1.54184 Å. Structure: a GGA-PBE-relaxed structure.

Crystal structure
```
data_TcSbOs2
_space_group_name_H-M_alt 'C 1 m 1'
_space_group_IT_number 8
_cell_length_a 9.238
_cell_length_b 2.926
_cell_length_c 4.798
_cell_angle_alpha 90.00
_cell_angle_beta 98.10
_cell_angle_gamma 90.00
loop_
_space_group_symop_operation_xyz
'x,y,z'
'x,-y,z'
'x+1/2,y+1/2,z'
'x+1/2,-y+1/2,z'
loop_
_atom_site_label
_atom_site_type_symbol
_atom_site_fract_x
_atom_site_fract_y
_atom_site_fract_z
Tc1 Tc 0.000 0.000 0.000
Sb1 Sb 0.262 0.500 0.264
Os1 Os 0.028 0.500 0.550
Os2 Os 0.265 0.000 0.762
```

Largest 10 diffraction maxima, most intense first, 2θ = 15–90°:
2θ/deg	d (Å)	I_rel
38.14	2.360	100
45.28	2.003	63
39.41	2.286	44
40.25	2.241	44
45.45	1.996	28
81.56	1.180	21
66.68	1.403	18
65.51	1.425	18
18.68	4.750	17
77.45	1.232	15

Record 2
This entry pairs a crystal structure of Ti8Sb2Os with its theoretical powder diffractogram. Radiation: Cu Kα, 1.54184 Å. Structure: a GGA-PBE-relaxed structure.

Crystal structure
```
data_Ti8Sb2Os
_space_group_name_H-M_alt 'I m m m'
_space_group_IT_number 71
_space_group_name_Hall '-I 2 2'
_cell_length_a 4.600
_cell_length_b 6.269
_cell_length_c 13.580
_cell_angle_alpha 90.00
_cell_angle_beta 90.00
_cell_angle_gamma 90.00
loop_
_atom_site_label
_atom_site_type_symbol
_atom_site_fract_x
_atom_site_fract_y
_atom_site_fract_z
Ti1 Ti 0.000 0.000 0.172
Ti2 Ti 0.000 0.242 0.000
Ti3 Ti 0.000 0.247 0.357
Sb1 Sb 0.000 0.500 0.181
Os1 Os 0.000 0.500 0.500
```

Largest 10 diffraction maxima, most intense first, 2θ = 15–90°:
2θ/deg	d (Å)	I_rel
40.11	2.248	100
24.25	3.670	34
23.99	3.709	33
39.16	2.300	32
39.83	2.263	21
71.61	1.318	17
15.57	5.692	15
57.09	1.613	14
27.65	3.227	13
46.60	1.949	12

Record 3
This entry pairs a crystal structure of Tm8Sb2Os with its theoretical powder diffractogram. Radiation: Cu Kα, 1.54184 Å. Structure: a GGA-PBE-relaxed structure.

Crystal structure
```
data_Tm8Sb2Os
_space_group_name_H-M_alt 'C 1 2/m 1'
_space_group_IT_number 12
_cell_length_a 19.109
_cell_length_b 4.905
_cell_length_c 6.560
_cell_angle_alpha 90.00
_cell_angle_beta 106.03
_cell_angle_gamma 90.00
loop_
_space_group_symop_operation_xyz
'x,y,z'
'-x,-y,-z'
'-x,y,-z'
'x,-y,z'
'x+1/2,y+1/2,z'
'-x+1/2,-y+1/2,-z'
'-x+1/2,y+1/2,-z'
'x+1/2,-y+1/2,z'
loop_
_atom_site_label
_atom_site_type_symbol
_atom_site_fract_x
_atom_site_fract_y
_atom_site_fract_z
Tm1 Tm 0.022 0.000 0.290
Tm2 Tm 0.089 0.500 0.955
Tm3 Tm 0.146 0.500 0.509
Tm4 Tm 0.220 0.000 0.827
Sb1 Sb 0.181 0.000 0.259
Os1 Os 0.000 0.500 0.500
```

Largest 10 diffraction maxima, most intense first, 2θ = 15–90°:
2θ/deg	d (Å)	I_rel
32.98	2.716	100
36.64	2.453	69
30.40	2.940	59
38.03	2.366	46
29.31	3.047	34
35.30	2.543	31
67.05	1.396	25
28.69	3.112	23
35.98	2.496	23
63.66	1.462	19

Record 4
This entry pairs a crystal structure of Sc3Os with its theoretical powder diffractogram. Radiation: Cu Kα, 1.54184 Å. Structure: a GGA-PBE-relaxed structure.

Crystal structure
```
data_Sc3Os
_space_group_name_H-M_alt 'P 42/n'
_space_group_IT_number 86
_cell_length_a 10.930
_cell_length_b 10.930
_cell_length_c 5.636
_cell_angle_alpha 90.00
_cell_angle_beta 90.00
_cell_angle_gamma 90.00
loop_
_space_group_symop_operation_xyz
'x,y,z'
'-x,-y,-z'
'-y,x+1/2,z+1/2'
'y,-x+1/2,-z+1/2'
'-x+1/2,-y+1/2,z'
'x+1/2,y+1/2,-z'
'y+1/2,-x,z+1/2'
'-y+1/2,x,-z+1/2'
loop_
_atom_site_label
_atom_site_type_symbol
_atom_site_fract_x
_atom_site_fract_y
_atom_site_fract_z
Sc1 Sc 0.031 0.578 0.227
Sc2 Sc 0.116 0.211 0.016
Sc3 Sc 0.131 0.665 0.715
Os1 Os 0.039 0.200 0.531
```

Largest 10 diffraction maxima, most intense first, 2θ = 15–90°:
2θ/deg	d (Å)	I_rel
22.66	3.923	100
41.34	2.184	43
36.78	2.443	37
23.01	3.864	35
45.26	2.004	32
25.78	3.456	31
39.58	2.277	31
38.42	2.343	27
42.16	2.144	26
33.86	2.647	20

Record 5
This entry pairs a crystal structure of Sc4Os3 with its theoretical powder diffractogram. Radiation: Cu Kα, 1.54184 Å. Structure: a GGA-PBE-relaxed structure.

Crystal structure
```
data_Sc4Os3
_space_group_name_H-M_alt 'P 6/m m m'
_space_group_IT_number 191
_space_group_name_Hall '-P 6 2'
_cell_length_a 5.2231
_cell_length_b 5.2231
_cell_length_c 5.4941
_cell_angle_alpha 90.00
_cell_angle_beta 90.00
_cell_angle_gamma 120.00
loop_
_atom_site_label
_atom_site_type_symbol
_atom_site_fract_x
_atom_site_fract_y
_atom_site_fract_z
Sc1 Sc 0.0000 0.0000 0.2419
Sc2 Sc 0.3333 0.6667 0.5000
Os1 Os 0.0000 0.5000 0.0000
```

Largest 10 diffraction maxima, most intense first, 2θ = 15–90°:
2θ/deg	d (Å)	I_rel
16.13	5.494	100
43.26	2.091	86
39.86	2.262	53
38.34	2.348	33
32.60	2.747	26
52.40	1.746	25
38.16	2.359	24
65.59	1.423	24
25.51	3.492	17
19.63	4.523	17

Record 6
This entry pairs a crystal structure of Sc2Os3 with its theoretical powder diffractogram. Radiation: Cu Kα, 1.54184 Å. Structure: a GGA-PBE-relaxed structure.

Crystal structure
```
data_Sc2Os3
_space_group_name_H-M_alt 'F d d 2'
_space_group_IT_number 43
_space_group_name_Hall 'F 2 -2d'
_cell_length_a 8.747
_cell_length_b 15.952
_cell_length_c 5.272
_cell_angle_alpha 90.00
_cell_angle_beta 90.00
_cell_angle_gamma 90.00
loop_
_atom_site_label
_atom_site_type_symbol
_atom_site_fract_x
_atom_site_fract_y
_atom_site_fract_z
Sc1 Sc 0.076 0.294 0.000
Os1 Os 0.000 0.000 0.275
Os2 Os 0.073 0.374 0.501
```

Largest 10 diffraction maxima, most intense first, 2θ = 15–90°:
2θ/deg	d (Å)	I_rel
20.44	4.345	100
39.16	2.300	48
45.51	1.993	44
46.21	1.965	36
41.57	2.172	36
34.42	2.606	31
25.89	3.442	25
42.88	2.109	24
44.54	2.034	24
55.68	1.651	19